Entry 1:
BaLuSn2: computed powder XRD pattern (Cu Kα X-rays), based on a GGA-PBE-relaxed structure.
No peak broadening, texture or thermal motion is included.

The 10 most intense peaks (10 to 90 degrees two-theta), most intense first:
2θ 32.2, rel. 100, (1 0 2); 2θ 31.2, rel. 67, (1 1 0); 2θ 56.1, rel. 42, (2 1 2); 2θ 44.7, rel. 25, (2 0 0); 2θ 11.6, rel. 16, (0 0 1); 2θ 42.0, rel. 12, (1 0 3); 2θ 58.2, rel. 12, (1 1 4); 2θ 73.8, rel. 12, (3 1 0); 2θ 74.4, rel. 9, (3 0 2); 2θ 65.0, rel. 8, (2 2 0)

Atomic structure:
a = 4.0581 Å, b = 4.0581 Å, c = 7.6134 Å
α = 90.00°, β = 90.00°, γ = 90.00°
Space group P4/mmm (No. 123)
Unique sites:
Ba 0.0000 0.0000 0.0000 (multiplicity 1)
Lu 0.0000 0.0000 0.5000 (multiplicity 1)
Sn 0.5000 0.5000 0.3037 (multiplicity 2)

Entry 2:
Ba13Mg2: computed powder XRD pattern (Cu Kα X-rays), based on a GGA-PBE-relaxed structure.
No peak broadening, texture or thermal motion is included.

The 10 most intense peaks (10 to 90 degrees two-theta), most intense first:
2θ 24.9, rel. 100, (0 2 3); 2θ 25.5, rel. 79, (2 2 1); 2θ 24.1, rel. 74, (1 -2 0); 2θ 22.7, rel. 70, (2 1 1); 2θ 28.8, rel. 65, (1 0 3); 2θ 26.7, rel. 63, (0 3 1); 2θ 27.3, rel. 53, (-2 1 2); 2θ 23.1, rel. 49, (0 1 -2); 2θ 24.1, rel. 47, (1 1 -2); 2θ 27.0, rel. 39, (1 3 1)

Atomic structure:
a = 8.3474 Å, b = 10.2530 Å, c = 11.4422 Å
α = 65.18°, β = 89.71°, γ = 79.78°
Space group P-1 (No. 2)
Unique sites:
Ba 0.0000 0.0000 0.0000 (multiplicity 1)
Ba 0.0355 0.5758 0.6388 (multiplicity 2)
Ba 0.1770 0.9969 0.6473 (multiplicity 2)
Ba 0.2349 0.5869 0.0061 (multiplicity 2)
Ba 0.2984 0.1004 0.2480 (multiplicity 2)
Ba 0.4114 0.2253 0.8539 (multiplicity 2)
Ba 0.4831 0.3422 0.4309 (multiplicity 2)
Mg 0.1885 0.7273 0.3145 (multiplicity 2)

Entry 3:
Ba2Mg7: computed powder XRD pattern (Cu Kα X-rays), based on a GGA-PBE-relaxed structure.
No peak broadening, texture or thermal motion is included.

The 10 most intense peaks (10 to 90 degrees two-theta), most intense first:
2θ 32.7, rel. 100, (1 1 9); 2θ 25.0, rel. 66, (1 0 10); 2θ 27.6, rel. 65, (1 1 0); 2θ 15.9, rel. 46, (1 0 1); 2θ 32.0, rel. 36, (0 2 1); 2θ 26.5, rel. 34, (0 1 11); 2θ 52.1, rel. 26, (3 0 9); 2θ 47.2, rel. 24, (2 1 10); 2θ 17.2, rel. 21, (0 0 9); 2θ 57.0, rel. 19, (2 2 0)

Atomic structure:
a = 6.4637 Å, b = 6.4637 Å, c = 46.2707 Å
α = 90.00°, β = 90.00°, γ = 120.00°
Space group R-3m (No. 166, hexagonal axes)
Unique sites:
Ba 0.0000 0.0000 0.0526 (multiplicity 6)
Ba 0.0000 0.0000 0.1512 (multiplicity 6)
Mg 0.0000 0.0000 0.2795 (multiplicity 6)
Mg 0.0000 0.0000 0.3874 (multiplicity 6)
Mg 0.0000 0.0000 0.5000 (multiplicity 3)
Mg 0.0000 0.5000 0.0000 (multiplicity 9)
Mg 0.9998 0.4999 0.1086 (multiplicity 18)

Entry 4:
Ba7Mg6: computed powder XRD pattern (Cu Kα X-rays), based on a GGA-PBE-relaxed structure.
No peak broadening, texture or thermal motion is included.

The 10 most intense peaks (10 to 90 degrees two-theta), most intense first:
2θ 29.6, rel. 100, (2 0 5); 2θ 32.3, rel. 71, (0 2 7); 2θ 15.8, rel. 70, (0 0 6); 2θ 13.4, rel. 69, (1 0 1); 2θ 27.8, rel. 68, (1 1 6); 2θ 26.5, rel. 65, (0 2 1); 2θ 26.9, rel. 49, (2 0 2); 2θ 46.5, rel. 43, (2 2 0); 2θ 16.8, rel. 33, (1 0 4); 2θ 57.5, rel. 33, (2 2 12)

Atomic structure:
a = 7.8057 Å, b = 7.8057 Å, c = 33.7585 Å
α = 90.00°, β = 90.00°, γ = 120.00°
Space group R-3m (No. 166, hexagonal axes)
Unique sites:
Ba 0.0000 0.0000 0.0000 (multiplicity 3)
Ba 0.0151 0.5075 0.4167 (multiplicity 18)
Mg 0.0000 0.0000 0.1643 (multiplicity 6)
Mg 0.0000 0.0000 0.3571 (multiplicity 6)
Mg 0.0000 0.0000 0.4525 (multiplicity 6)

Entry 5:
BaMg5: computed powder XRD pattern (Cu Kα X-rays), based on a GGA-PBE-relaxed structure.
No peak broadening, texture or thermal motion is included.

The 10 most intense peaks (10 to 90 degrees two-theta), most intense first:
2θ 32.7, rel. 100, (1 0 3); 2θ 28.0, rel. 59, (1 0 2); 2θ 33.9, rel. 59, (1 1 0); 2θ 24.9, rel. 51, (1 0 1); 2θ 59.8, rel. 34, (2 1 3); 2θ 14.7, rel. 31, (0 0 2); 2θ 23.8, rel. 24, (1 0 0); 2θ 48.6, rel. 21, (2 0 0); 2θ 22.1, rel. 20, (0 0 3); 2θ 45.6, rel. 16, (1 1 4)

Atomic structure:
a = 3.7441 Å, b = 3.7441 Å, c = 12.0661 Å
α = 90.00°, β = 90.00°, γ = 90.00°
Space group P4/mmm (No. 123)
Unique sites:
Ba 0.0000 0.0000 0.0000 (multiplicity 1)
Mg 0.0000 0.0000 0.3600 (multiplicity 2)
Mg 0.5000 0.5000 0.2215 (multiplicity 2)
Mg 0.5000 0.5000 0.5000 (multiplicity 1)

Entry 6:
Ba3Mg5: computed powder XRD pattern (Cu Kα X-rays), based on a GGA-PBE-relaxed structure.
No peak broadening, texture or thermal motion is included.

The 10 most intense peaks (10 to 90 degrees two-theta), most intense first:
2θ 29.9, rel. 100, (2 2 1); 2θ 21.7, rel. 41, (0 2 1); 2θ 31.5, rel. 25, (0 0 2); 2θ 20.3, rel. 25, (2 0 0); 2θ 30.3, rel. 25, (0 4 0); 2θ 53.5, rel. 19, (2 6 1); 2θ 44.3, rel. 17, (0 4 2); 2θ 55.1, rel. 17, (2 2 3); 2θ 20.1, rel. 14, (1 1 1); 2θ 47.0, rel. 12, (4 2 1)

Atomic structure:
a = 8.7673 Å, b = 11.8035 Å, c = 5.6829 Å
α = 90.00°, β = 90.00°, γ = 90.00°
Space group Cmmm (No. 65)
Unique sites:
Ba 0.0000 0.0000 0.0000 (multiplicity 2)
Ba 0.0000 0.2517 0.5000 (multiplicity 4)
Mg 0.0000 0.5000 0.0000 (multiplicity 2)
Mg 0.2145 0.5000 0.5000 (multiplicity 4)
Mg 0.2500 0.2500 0.0000 (multiplicity 4)

Entry 7:
Ba3Mg2: computed powder XRD pattern (Cu Kα X-rays), based on a GGA-PBE-relaxed structure.
No peak broadening, texture or thermal motion is included.

The 10 most intense peaks (10 to 90 degrees two-theta), most intense first:
2θ 27.6, rel. 100, (1 0 5); 2θ 28.8, rel. 79, (1 1 0); 2θ 20.3, rel. 41, (1 0 0); 2θ 50.3, rel. 37, (2 1 5); 2θ 30.3, rel. 31, (1 0 6); 2θ 41.2, rel. 30, (2 0 0); 2θ 36.7, rel. 28, (1 1 6); 2θ 46.5, rel. 27, (1 0 11); 2θ 22.2, rel. 26, (0 0 6); 2θ 25.2, rel. 23, (1 0 4)

Atomic structure:
a = 4.3817 Å, b = 4.3817 Å, c = 23.9885 Å
α = 90.00°, β = 90.00°, γ = 90.00°
Space group P4/mmm (No. 123)
Unique sites:
Ba 0.0000 0.0000 0.0000 (multiplicity 1)
Ba 0.0000 0.0000 0.1827 (multiplicity 2)
Ba 0.0000 0.0000 0.3620 (multiplicity 2)
Ba 0.5000 0.5000 0.5000 (multiplicity 1)
Mg 0.5000 0.5000 0.0911 (multiplicity 2)
Mg 0.5000 0.5000 0.2742 (multiplicity 2)

Entry 8:
Ba3Mg2: computed powder XRD pattern (Cu Kα X-rays), based on a GGA-PBE-relaxed structure.
No peak broadening, texture or thermal motion is included.

The 10 most intense peaks (10 to 90 degrees two-theta), most intense first:
2θ 27.3, rel. 100, (1 5 1); 2θ 28.4, rel. 87, (2 0 2); 2θ 19.9, rel. 52, (1 3 1); 2θ 33.5, rel. 48, (3 5 1); 2θ 49.7, rel. 44, (2 10 0); 2θ 27.1, rel. 36, (4 0 0); 2θ 16.3, rel. 36, (2 2 0); 2θ 27.7, rel. 31, (3 3 1); 2θ 45.4, rel. 24, (1 5 3); 2θ 28.7, rel. 18, (4 2 0)

Atomic structure:
a = 13.1844 Å, b = 19.0885 Å, c = 7.1407 Å
α = 90.00°, β = 90.00°, γ = 90.00°
Space group Fdd2 (No. 43)
Unique sites:
Ba 0.0000 0.0000 0.0000 (multiplicity 8)
Ba 0.0311 0.3915 0.9983 (multiplicity 16)
Mg 0.0195 0.3008 0.5248 (multiplicity 16)

Entry 9:
Ba2Mg: computed powder XRD pattern (Cu Kα X-rays), based on a GGA-PBE-relaxed structure.
No peak broadening, texture or thermal motion is included.

The 10 most intense peaks (10 to 90 degrees two-theta), most intense first:
2θ 27.5, rel. 100, (0 0 2); 2θ 22.6, rel. 23, (0 4 1); 2θ 48.6, rel. 16, (1 3 3); 2θ 27.1, rel. 16, (0 6 0); 2θ 48.2, rel. 14, (0 10 1); 2θ 20.1, rel. 14, (1 1 0); 2θ 39.0, rel. 13, (0 6 2); 2θ 47.2, rel. 10, (1 7 2); 2θ 37.6, rel. 10, (1 7 0); 2θ 64.8, rel. 9, (3 3 1)

Atomic structure:
a = 4.5382 Å, b = 19.7290 Å, c = 6.4893 Å
α = 90.00°, β = 90.00°, γ = 90.00°
Space group Cmcm (No. 63)
Unique sites:
Ba 0.0000 0.0726 0.2500 (multiplicity 4)
Ba 0.0000 0.2311 0.7500 (multiplicity 4)
Mg 0.0000 0.4147 0.2500 (multiplicity 4)